Entry 1:
This entry pairs a crystal structure of BaNb3NO7 with its simulated X-ray diffraction stick pattern. Radiation: Cu Kα (λ = 1.5418 Å). Structure: DFT lattice parameters and positions (PBE).
Peak positions follow from Bragg's law for the DFT cell and can differ from measured ones.

Crystal structure
```
data_BaNb3NO7
_symmetry_space_group_name_H-M 'P 1'
_symmetry_Int_Tables_number 1
_cell_length_a 10.696
_cell_length_b 10.696
_cell_length_c 9.089
_cell_angle_alpha 90.23
_cell_angle_beta 90.23
_cell_angle_gamma 21.01
loop_
_symmetry_equiv_pos_as_xyz
'x,y,z'
loop_
_atom_site_label
_atom_site_type_symbol
_atom_site_fract_x
_atom_site_fract_y
_atom_site_fract_z
Ba1 Ba 0.000 0.000 0.000
Ba2 Ba 0.037 0.037 0.511
Nb1 Nb 0.261 0.261 0.011
Nb2 Nb 0.384 0.384 0.709
Nb3 Nb 0.389 0.389 0.315
Nb4 Nb 0.651 0.651 0.194
Nb5 Nb 0.655 0.655 0.828
Nb6 Nb 0.780 0.780 0.507
N1 N 0.323 0.323 0.863
N2 N 0.726 0.726 0.014
O1 O 0.164 0.164 0.177
O2 O 0.173 0.173 0.844
O3 O 0.308 0.308 0.510
O4 O 0.311 0.311 0.181
O5 O 0.442 0.442 0.492
O6 O 0.451 0.451 0.174
O7 O 0.459 0.459 0.814
O8 O 0.582 0.582 0.322
O9 O 0.589 0.589 0.690
O10 O 0.595 0.595 0.005
O11 O 0.721 0.721 0.357
O12 O 0.726 0.726 0.666
O13 O 0.866 0.866 0.348
O14 O 0.869 0.869 0.655
```

Main lines, low angle first (10° ≤ 2θ ≤ 90°):
- 12.9°, I 40.3
- 19.5°, I 37.6
- 25.9°, I 100.0
- 26.0°, I 87.5
- 26.1°, I 90.4
- 28.0°, I 77.0
- 30.5°, I 98.1
- 31.3°, I 42.1
- 46.6°, I 45.5
- 54.1°, I 46.7



Entry 2:
This entry pairs a crystal structure of LaTh2N3 with its simulated X-ray diffraction stick pattern. Radiation: Cu Kα (λ = 1.5418 Å). Structure: DFT lattice parameters and positions (PBE).
Peak positions follow from Bragg's law for the DFT cell and can differ from measured ones.

Crystal structure
```
data_LaTh2N3
_symmetry_space_group_name_H-M 'P 1'
_symmetry_Int_Tables_number 1
_cell_length_a 6.171
_cell_length_b 6.171
_cell_length_c 6.881
_cell_angle_alpha 90.00
_cell_angle_beta 90.00
_cell_angle_gamma 120.00
loop_
_symmetry_equiv_pos_as_xyz
'x,y,z'
loop_
_atom_site_label
_atom_site_type_symbol
_atom_site_fract_x
_atom_site_fract_y
_atom_site_fract_z
La1 La 0.000 0.000 0.250
La2 La 0.000 0.000 0.750
Th1 Th 0.333 0.667 0.000
Th2 Th 0.333 0.667 0.500
Th3 Th 0.667 0.333 0.000
Th4 Th 0.667 0.333 0.500
N1 N 0.000 0.448 0.250
N2 N 0.000 0.552 0.750
N3 N 0.448 0.000 0.250
N4 N 0.448 0.448 0.750
N5 N 0.552 0.000 0.750
N6 N 0.552 0.552 0.250
```

Main lines, low angle first (10° ≤ 2θ ≤ 90°):
- 28.9°, I 100.0
- 30.9°, I 63.4
- 39.2°, I 29.5
- 42.8°, I 33.5
- 51.3°, I 22.2
- 52.5°, I 30.1
- 60.0°, I 14.9
- 61.7°, I 24.7
- 69.0°, I 13.1
- 77.1°, I 13.6



Entry 3:
This entry pairs a crystal structure of Sc10As3Se3 with its simulated X-ray diffraction stick pattern. Radiation: Cu Kα (λ = 1.5418 Å). Structure: DFT lattice parameters and positions (PBE).
Peak positions follow from Bragg's law for the DFT cell and can differ from measured ones.

Crystal structure
```
data_Sc10As3Se3
_symmetry_space_group_name_H-M 'P 1'
_symmetry_Int_Tables_number 1
_cell_length_a 8.010
_cell_length_b 8.010
_cell_length_c 5.590
_cell_angle_alpha 90.00
_cell_angle_beta 90.00
_cell_angle_gamma 120.00
loop_
_symmetry_equiv_pos_as_xyz
'x,y,z'
loop_
_atom_site_label
_atom_site_type_symbol
_atom_site_fract_x
_atom_site_fract_y
_atom_site_fract_z
Sc1 Sc 0.000 0.253 0.000
Sc2 Sc 0.000 0.746 0.500
Sc3 Sc 0.253 0.000 0.000
Sc4 Sc 0.254 0.254 0.500
Sc5 Sc 0.333 0.667 0.247
Sc6 Sc 0.333 0.667 0.753
Sc7 Sc 0.667 0.333 0.247
Sc8 Sc 0.667 0.333 0.753
Sc9 Sc 0.746 0.000 0.500
Sc10 Sc 0.747 0.747 0.000
As1 As 0.000 0.616 0.000
As2 As 0.384 0.384 0.000
As3 As 0.616 0.000 0.000
Se1 Se 0.000 0.383 0.500
Se2 Se 0.383 0.000 0.500
Se3 Se 0.617 0.617 0.500
```

Main lines, low angle first (10° ≤ 2θ ≤ 90°):
- 12.8°, I 19.3
- 27.4°, I 31.9
- 32.0°, I 33.9
- 34.2°, I 18.1
- 37.9°, I 100.0
- 39.0°, I 72.4
- 39.3°, I 86.6
- 50.1°, I 26.4
- 56.5°, I 17.5
- 61.0°, I 22.9